Theoretical X-ray diffraction stick pattern of La8Dy5Y for Cu Kα, 1.54184 Å, from DFT lattice parameters and positions (GGA-PBE).
Kinematic intensities with the Lorentz-polarization factor, no thermal factor.

The 10 most intense peaks (10 to 90 degrees two-theta), in order of rising 2θ:
Position (°2θ), I_rel
25.43, 55
29.03, 38
30.90, 93
31.27, 100
31.42, 74
31.55, 88
31.93, 41
32.19, 42
33.24, 61
33.69, 53

Cell and atoms:
Lattice parameters (Å, degrees): 8.662 8.697 8.758 113.04 98.32 116.93
Element x y z (fractional)
La  0.000  0.000  0.000
La  0.017  0.412  0.811
La  0.161  0.130  0.499
La  0.220  0.519  0.296
La  0.337  0.870  0.129
La  0.487  0.647  0.754
La  0.600  0.409  0.373
La  0.629  0.128  0.958
Dy  0.120  0.782  0.644
Dy  0.394  0.359  0.959
Dy  0.745  0.881  0.535
Dy  0.829  0.176  0.345
Dy  0.883  0.648  0.174
Y  0.532  0.132  0.592


Theoretical X-ray diffraction stick pattern of PmHoZn4 for Cu Kα, 1.54184 Å, from DFT lattice parameters and positions (GGA-PBE).
Kinematic intensities with the Lorentz-polarization factor, no thermal factor.

The 10 most intense peaks (10 to 90 degrees two-theta), in order of rising 2θ:
Position (°2θ), I_rel
22.83, 18
34.07, 100
40.10, 55
51.18, 9
53.61, 27
66.93, 23
68.98, 17
69.07, 8
72.81, 6
85.28, 7

Cell and atoms:
Lattice parameters (Å, degrees): 4.502 7.140 7.780 90.00 90.00 90.00
Element x y z (fractional)
Pm  0.000  0.000  0.000
Pm  0.500  0.500  0.500
Ho  0.000  0.500  0.000
Ho  0.500  0.000  0.500
Zn  0.000  0.246  0.334
Zn  0.000  0.246  0.666
Zn  0.000  0.754  0.334
Zn  0.000  0.754  0.666
Zn  0.500  0.254  0.166
Zn  0.500  0.254  0.834
Zn  0.500  0.746  0.166
Zn  0.500  0.746  0.834


Theoretical X-ray diffraction stick pattern of Pr8Br13N3O for Cu Kα, 1.54184 Å, from DFT lattice parameters and positions (GGA-PBE).
Kinematic intensities with the Lorentz-polarization factor, no thermal factor.

The 10 most intense peaks (10 to 90 degrees two-theta), in order of rising 2θ:
Position (°2θ), I_rel
11.29, 53
11.77, 71
22.25, 54
28.95, 61
29.49, 73
30.88, 76
31.65, 97
31.77, 69
32.11, 100
32.62, 65

Cell and atoms:
Lattice parameters (Å, degrees): 11.951 11.951 17.357 117.81 117.81 42.05
Element x y z (fractional)
Pr  0.007  0.584  0.503
Pr  0.010  0.860  0.171
Pr  0.029  0.971  0.500
Pr  0.078  0.180  0.724
Pr  0.109  0.569  0.727
Pr  0.126  0.261  0.056
Pr  0.180  0.078  0.224
Pr  0.261  0.126  0.556
Pr  0.304  0.680  0.669
Pr  0.459  0.808  0.049
Pr  0.569  0.109  0.227
Pr  0.584  0.007  0.003
Pr  0.680  0.304  0.169
Pr  0.808  0.459  0.549
Pr  0.860  0.010  0.671
Pr  0.971  0.029  0.000
Br  0.177  0.353  0.250
Br  0.194  0.935  0.366
Br  0.205  0.292  0.929
Br  0.248  0.573  0.474
Br  0.285  0.680  0.900
Br  0.292  0.205  0.429
Br  0.322  0.459  0.180
Br  0.353  0.177  0.750
Br  0.369  0.696  0.147
Br  0.422  0.773  0.582
Br  0.443  0.819  0.856
Br  0.459  0.322  0.680
Br  0.572  0.863  0.246
Br  0.573  0.248  0.974
Br  0.663  0.820  0.555
Br  0.680  0.285  0.400
Br  0.696  0.369  0.647
Br  0.765  0.958  0.475
Br  0.773  0.422  0.082
Br  0.819  0.443  0.356
Br  0.820  0.663  0.055
Br  0.822  0.938  0.798
Br  0.863  0.572  0.746
Br  0.935  0.194  0.866
Br  0.938  0.822  0.298
Br  0.958  0.765  0.975
N  0.039  0.187  0.576
N  0.072  0.706  0.646
N  0.077  0.960  0.649
N  0.187  0.039  0.076
N  0.706  0.072  0.146
N  0.960  0.077  0.149
O  0.050  0.433  0.581
O  0.433  0.050  0.081


Theoretical X-ray diffraction stick pattern of Tl2Bi5Pb4 for Cu Kα, 1.54184 Å, from DFT lattice parameters and positions (GGA-PBE).
Kinematic intensities with the Lorentz-polarization factor, no thermal factor.

The 10 most intense peaks (10 to 90 degrees two-theta), in order of rising 2θ:
Position (°2θ), I_rel
25.41, 31
30.24, 100
31.21, 93
31.47, 71
31.70, 50
32.56, 66
35.79, 36
36.25, 39
37.01, 33
58.93, 30

Cell and atoms:
Lattice parameters (Å, degrees): 6.868 6.868 8.876 91.27 91.27 61.40
Element x y z (fractional)
Tl  0.132  0.132  0.136
Tl  0.868  0.868  0.864
Bi  0.000  0.000  0.500
Bi  0.145  0.632  0.215
Bi  0.368  0.855  0.785
Bi  0.632  0.145  0.215
Bi  0.855  0.368  0.785
Pb  0.282  0.282  0.503
Pb  0.367  0.367  0.866
Pb  0.633  0.633  0.134
Pb  0.718  0.718  0.497


Theoretical X-ray diffraction stick pattern of LaTe2Au for Cu Kα, 1.54184 Å, from DFT lattice parameters and positions (GGA-PBE).
Kinematic intensities with the Lorentz-polarization factor, no thermal factor.

The 10 most intense peaks (10 to 90 degrees two-theta), in order of rising 2θ:
Position (°2θ), I_rel
18.04, 35
24.14, 30
28.43, 100
30.53, 56
35.18, 78
36.38, 15
39.12, 19
40.87, 30
43.11, 16
51.85, 16

Cell and atoms:
Lattice parameters (Å, degrees): 11.729 4.416 4.921 90.00 92.52 90.00
Element x y z (fractional)
La  0.000  0.000  0.000
La  0.500  0.500  0.000
Te  0.216  0.500  0.093
Te  0.469  0.000  0.507
Te  0.716  0.000  0.093
Te  0.969  0.500  0.507
Au  0.284  0.000  0.813
Au  0.784  0.500  0.813


Theoretical X-ray diffraction stick pattern of Pm4Bi2PtN2 for Cu Kα, 1.54184 Å, from DFT lattice parameters and positions (GGA-PBE).
Kinematic intensities with the Lorentz-polarization factor, no thermal factor.

The 10 most intense peaks (10 to 90 degrees two-theta), in order of rising 2θ:
Position (°2θ), I_rel
12.35, 21
25.93, 17
27.80, 22
28.22, 17
30.71, 100
31.01, 49
36.36, 56
42.89, 24
51.08, 26
53.86, 21

Cell and atoms:
Lattice parameters (Å, degrees): 7.913 7.913 8.073 109.20 109.20 30.91
Element x y z (fractional)
Pm  0.033  0.033  0.284
Pm  0.288  0.288  0.362
Pm  0.712  0.712  0.638
Pm  0.967  0.967  0.716
Bi  0.390  0.390  0.970
Bi  0.610  0.610  0.030
Pt  0.500  0.500  0.500
N  0.175  0.175  0.491
N  0.825  0.825  0.509